The following is a computed powder X-ray diffraction pattern of Sm4AgHg5. It was derived from a cell relaxed with GGA-PBE, using Cu Ka.

Most intense lines, 2θ = 10–80°, sorted by position:
(hkl), 2theta, I (rel.)
1 0 4, 30.8, 5
1 1 0, 33.8, 57
1 0 5, 34.2, 100
2 0 0, 48.5, 21
0 0 10, 49.7, 6
1 1 9, 56.9, 5
2 1 5, 60.7, 39
1 1 10, 61.4, 14
2 2 0, 71.0, 7
2 0 10, 72.0, 9

Crystal structure
Cell: 3.7535 3.7535 18.3554 Å, 90.00 90.00 90.00°
Space group P4/mmm (No. 123)
One atom of each set of equivalent atoms:
Sm (0.0000, 0.0000, 0.1052) x2
Sm (0.0000, 0.0000, 0.3137) x2
Ag (0.0000, 0.0000, 0.5000) x1
Hg (0.5000, 0.5000, 0.0000) x1
Hg (0.5000, 0.5000, 0.2073) x2
Hg (0.5000, 0.5000, 0.4141) x2